For Tb3In3CuNiIr, the GGA-PBE geometry in OQMD gives the simulated X-ray diffraction stick pattern in this record (λ = 1.5418 Å (Cu Kα)).
Neutral-atom scattering factors, no anomalous dispersion.

Peak list (8 most intense, 10 to 80 degrees two-theta, by angle)
d = 2.700 Å, 33.18°, intensity 100.0; d = 2.494 Å, 36.01°, intensity 89.4; d = 2.460 Å, 36.53°, intensity 53.6; d = 2.169 Å, 41.63°, intensity 29.8; d = 2.078 Å, 43.55°, intensity 20.4; d = 1.942 Å, 46.78°, intensity 23.2; d = 1.524 Å, 60.77°, intensity 24.1; d = 1.394 Å, 67.17°, intensity 27.7

Structure:
```
Tb3In3CuNiIr
1.0
7.5144 0.0000 0.0000
-3.7572 6.5077 0.0000
0.0000 0.0000 3.8838
Tb In Cu Ni Ir
3 3 1 1 1
Cartesian
-2.1661 3.8366 0.0000 Tb
1.5177 2.7135 0.0000 Tb
0.6484 6.4653 0.0000 Tb
1.9129 0.0508 1.9419 In
2.8448 4.8257 1.9419 In
6.5140 1.6312 1.9419 In
0.0000 0.0000 0.0000 Cu
3.7572 2.1692 1.9419 Ni
0.0000 4.3385 1.9419 Ir
```

For AcGe2Ir2, the GGA-PBE geometry in OQMD gives the simulated X-ray diffraction stick pattern in this record (λ = 1.5418 Å (Cu Kα)).
Neutral-atom scattering factors, no anomalous dispersion.

Peak list (8 most intense, 10 to 80 degrees two-theta, by angle)
d = 2.959 Å, 30.21°, intensity 22.3; d = 2.709 Å, 33.06°, intensity 70.8; d = 2.652 Å, 33.80°, intensity 100.0; d = 2.183 Å, 41.36°, intensity 67.5; d = 1.873 Å, 48.61°, intensity 26.1; d = 1.700 Å, 53.94°, intensity 36.1; d = 1.544 Å, 59.93°, intensity 22.9; d = 1.334 Å, 70.60°, intensity 25.4

Structure:
```
AcGe2Ir2
1.0
4.3657 0.0000 0.0000
0.0000 4.3657 0.0000
0.0000 0.0000 10.3666
Ac Ge Ir
2 4 4
Cartesian
1.0914 1.0914 2.5400 Ac
3.2743 3.2743 7.8266 Ac
1.0914 1.0914 6.5134 Ge
1.0914 3.2743 0.0000 Ge
3.2743 1.0914 0.0000 Ge
3.2743 3.2743 3.8532 Ge
1.0914 1.0914 9.0605 Ir
1.0914 3.2743 5.1833 Ir
3.2743 1.0914 5.1833 Ir
3.2743 3.2743 1.3061 Ir
```

For K2In3AgSe6, the GGA-PBE geometry in OQMD gives the simulated X-ray diffraction stick pattern in this record (λ = 1.5418 Å (Cu Kα)).
Neutral-atom scattering factors, no anomalous dispersion.

Peak list (8 most intense, 10 to 80 degrees two-theta, by angle)
d = 3.773 Å, 23.58°, intensity 92.6; d = 3.155 Å, 28.28°, intensity 100.0; d = 2.141 Å, 42.21°, intensity 20.9; d = 2.134 Å, 42.35°, intensity 55.3; d = 2.098 Å, 43.11°, intensity 42.0; d = 1.834 Å, 49.71°, intensity 20.5; d = 1.746 Å, 52.40°, intensity 19.1; d = 1.217 Å, 78.59°, intensity 9.1

Structure:
```
K2In3AgSe6
1.0
5.9388 -5.9312 0.0000
5.9388 5.9312 0.0000
-3.0667 0.0000 21.5364
K In Ag Se
8 12 4 24
Cartesian
2.3058 3.8309 19.7570 K
4.9717 3.8309 12.5477 K
2.3150 0.5879 12.5495 K
3.8483 -0.5879 1.7813 K
4.9626 0.5879 19.7551 K
6.4959 -0.5879 8.9869 K
3.8392 -3.8309 8.9887 K
6.5051 -3.8309 1.7795 K
0.6297 2.2144 16.1531 In
5.1795 3.7333 2.3960 In
5.1647 3.7333 8.3722 In
2.2084 0.7507 8.3570 In
0.6750 -0.7507 19.1252 In
2.1631 -2.2144 5.3849 In
6.6478 2.2144 16.1515 In
8.1359 0.7507 2.4113 In
6.6025 -0.7507 13.1795 In
3.6462 -3.7333 13.1642 In
3.6314 -3.7333 19.1404 In
8.1812 -2.2144 5.3833 In
3.6388 5.1855 16.1523 Ag
5.1721 0.7698 5.3841 Ag
3.6388 -0.7698 16.1523 Ag
5.1721 -5.1855 5.3841 Ag
2.2110 3.5443 14.5300 Se
-0.6734 0.6398 14.5271 Se
-1.1090 0.4214 20.6841 Se
3.5589 2.1625 3.7496 Se
0.8600 -0.6398 3.7589 Se
0.4244 -0.4214 9.9159 Se
3.9856 1.9439 9.9116 Se
2.2180 0.8822 17.7679 Se
5.0665 3.5443 17.7747 Se
6.3587 1.9439 0.8566 Se
6.7854 2.1625 7.0186 Se
3.7514 -0.8822 6.9997 Se
5.0595 0.8822 14.5368 Se
2.0255 -2.1625 14.5178 Se
2.4522 -1.9439 20.6798 Se
3.7444 -3.5443 3.7617 Se
6.5929 -0.8822 3.7686 Se
4.8253 -1.9439 11.6249 Se
8.3865 0.4214 11.6205 Se
7.9509 0.6398 17.7775 Se
5.2520 -2.1625 17.7869 Se
9.9199 -0.4214 0.8523 Se
9.4843 -0.6398 7.0093 Se
6.5999 -3.5443 7.0065 Se
```

For NdTlZnTe3, the GGA-PBE geometry in OQMD gives the simulated X-ray diffraction stick pattern in this record (λ = 1.5418 Å (Cu Kα)).
Neutral-atom scattering factors, no anomalous dispersion.

Peak list (8 most intense, 10 to 80 degrees two-theta, by angle)
d = 3.537 Å, 25.18°, intensity 26.9; d = 3.371 Å, 26.44°, intensity 24.2; d = 3.243 Å, 27.50°, intensity 100.0; d = 2.933 Å, 30.47°, intensity 49.1; d = 2.907 Å, 30.76°, intensity 29.7; d = 2.377 Å, 37.86°, intensity 24.9; d = 2.219 Å, 40.67°, intensity 29.9; d = 1.945 Å, 46.70°, intensity 22.7

Structure:
```
NdTlZnTe3
1.0
11.9138 0.0000 0.0000
0.0000 4.4373 0.0000
0.0000 0.0000 15.5507
Nd Tl Zn Te
4 4 4 12
Cartesian
0.2029 1.1093 3.7995 Nd
5.7540 3.3280 11.5748 Nd
6.1598 1.1093 3.9759 Nd
11.7109 3.3280 11.7512 Nd
2.6353 3.3280 7.8894 Tl
3.3216 1.1093 0.1141 Tl
8.5922 3.3280 15.4366 Tl
9.2786 1.1093 7.6612 Tl
2.7994 1.1093 11.1655 Zn
3.1575 3.3280 3.3902 Zn
8.7563 1.1093 12.1605 Zn
9.1144 3.3280 4.3851 Zn
0.5948 1.1093 9.6236 Te
1.0653 3.3280 1.7160 Te
2.8086 3.3280 12.8340 Te
3.1483 1.1093 5.0587 Te
4.8917 1.1093 9.4913 Te
5.3621 3.3280 1.8482 Te
6.5517 1.1093 13.7024 Te
7.0222 3.3280 6.0593 Te
8.7655 3.3280 10.4920 Te
9.1052 1.1093 2.7166 Te
10.8486 1.1093 13.8347 Te
11.3190 3.3280 5.9271 Te
```

For YErIn2Ni4, the GGA-PBE geometry in OQMD gives the simulated X-ray diffraction stick pattern in this record (λ = 1.5418 Å (Cu Kα)).
Neutral-atom scattering factors, no anomalous dispersion.

Peak list (8 most intense, 10 to 80 degrees two-theta, by angle)
d = 2.866 Å, 31.20°, intensity 100.0; d = 2.634 Å, 34.04°, intensity 30.2; d = 2.539 Å, 35.35°, intensity 34.5; d = 2.337 Å, 38.52°, intensity 92.3; d = 2.120 Å, 42.64°, intensity 34.6; d = 2.055 Å, 44.06°, intensity 26.8; d = 2.049 Å, 44.19°, intensity 38.5; d = 2.000 Å, 45.36°, intensity 39.7

Structure:
```
YErIn2Ni4
1.0
3.9990 0.0000 0.0000
0.0000 5.0776 0.0000
0.0000 0.0000 7.0009
Y Er In Ni
1 1 2 4
Cartesian
0.0000 0.0000 0.0000 Y
0.0000 2.5388 3.2678 Er
1.9995 0.0000 2.6271 In
1.9995 2.5388 0.6139 In
0.0000 0.0000 4.3163 Ni
0.0000 2.5388 5.9043 Ni
1.9995 1.2767 5.1035 Ni
1.9995 3.8008 5.1035 Ni
```

For SrCd2InSn, the GGA-PBE geometry in OQMD gives the simulated X-ray diffraction stick pattern in this record (λ = 1.5418 Å (Cu Kα)).
Neutral-atom scattering factors, no anomalous dispersion.

Peak list (8 most intense, 10 to 80 degrees two-theta, by angle)
d = 3.136 Å, 28.46°, intensity 40.7; d = 2.960 Å, 30.19°, intensity 100.0; d = 2.375 Å, 37.89°, intensity 64.6; d = 2.291 Å, 39.33°, intensity 50.6; d = 2.217 Å, 40.70°, intensity 36.2; d = 1.679 Å, 54.66°, intensity 21.9; d = 1.620 Å, 56.82°, intensity 25.5; d = 1.461 Å, 63.72°, intensity 22.5

Structure:
```
SrCd2InSn
1.0
4.7494 0.0000 0.0000
0.0000 4.7494 0.0000
0.0000 0.0000 12.5312
Sr Cd In Sn
2 4 2 2
Cartesian
1.1874 1.1874 3.0790 Sr
3.5621 3.5621 9.4522 Sr
1.1874 1.1874 7.9963 Cd
1.1874 3.5621 0.0000 Cd
3.5621 1.1874 0.0000 Cd
3.5621 3.5621 4.5348 Cd
1.1874 3.5621 6.2656 In
3.5621 1.1874 6.2656 In
1.1874 1.1874 10.7898 Sn
3.5621 3.5621 1.7413 Sn
```

For Li2MgAg, the GGA-PBE geometry in OQMD gives the simulated X-ray diffraction stick pattern in this record (λ = 1.5418 Å (Cu Kα)).
Neutral-atom scattering factors, no anomalous dispersion.

Peak list (8 most intense, 10 to 80 degrees two-theta, by angle)
d = 4.256 Å, 20.87°, intensity 79.6; d = 3.657 Å, 24.34°, intensity 100.0; d = 2.864 Å, 31.23°, intensity 58.0; d = 2.376 Å, 37.86°, intensity 91.6; d = 2.324 Å, 38.75°, intensity 29.3; d = 2.025 Å, 44.75°, intensity 28.0; d = 1.829 Å, 49.87°, intensity 29.7; d = 1.772 Å, 51.58°, intensity 24.6

Structure:
```
Li2MgAg
1.0
-2.0253 2.0253 4.2557
2.0253 -2.0253 4.2557
2.0253 2.0253 -4.2557
Li Mg Ag
2 1 1
Cartesian
2.0253 0.0000 2.1279 Li
0.0000 2.0253 2.1279 Li
0.0000 0.0000 0.0000 Mg
0.0000 0.0000 4.2557 Ag
```

For Cu2Ag3, the GGA-PBE geometry in OQMD gives the simulated X-ray diffraction stick pattern in this record (λ = 1.5418 Å (Cu Kα)).
Neutral-atom scattering factors, no anomalous dispersion.

Peak list (8 most intense, 10 to 80 degrees two-theta, by angle)
d = 2.289 Å, 39.36°, intensity 100.0; d = 1.997 Å, 45.41°, intensity 31.8; d = 1.953 Å, 46.49°, intensity 15.6; d = 1.411 Å, 66.26°, intensity 5.1; d = 1.397 Å, 66.98°, intensity 10.5; d = 1.396 Å, 67.04°, intensity 9.2; d = 1.203 Å, 79.72°, intensity 9.5; d = 1.201 Å, 79.86°, intensity 11.1

Structure:
```
Cu2Ag3
1.0
2.4082 -7.0710 0.0000
2.4082 7.0710 0.0000
-1.5160 0.0000 4.5762
Cu Ag
4 6
Cartesian
1.2712 4.9092 3.4322 Cu
2.0292 3.5477 1.1441 Cu
1.2712 -3.5477 3.4322 Cu
2.0292 -4.9092 1.1441 Cu
2.0292 6.2969 1.1441 Ag
1.2712 2.2960 3.4322 Ag
2.0292 0.8041 1.1441 Ag
1.2712 -0.8041 3.4322 Ag
2.0292 -2.2960 1.1441 Ag
1.2712 -6.2969 3.4322 Ag
```

For DyGaPd2, the GGA-PBE geometry in OQMD gives the simulated X-ray diffraction stick pattern in this record (λ = 1.5418 Å (Cu Kα)).
Neutral-atom scattering factors, no anomalous dispersion.

Peak list (8 most intense, 10 to 80 degrees two-theta, by angle)
d = 2.830 Å, 31.62°, intensity 49.6; d = 2.797 Å, 32.00°, intensity 39.4; d = 2.568 Å, 34.94°, intensity 79.2; d = 2.467 Å, 36.42°, intensity 100.0; d = 2.336 Å, 38.54°, intensity 47.7; d = 2.249 Å, 40.09°, intensity 57.3; d = 2.119 Å, 42.66°, intensity 30.9; d = 2.108 Å, 42.91°, intensity 40.9

Structure:
```
DyGaPd2
1.0
7.3605 0.0000 0.0000
0.0000 7.1704 0.0000
0.0000 0.0000 5.6256
Dy Ga Pd
4 4 8
Cartesian
0.2222 1.7926 0.8162 Dy
3.4581 5.3778 3.6290 Dy
3.9024 1.7926 1.9965 Dy
7.1383 5.3778 4.8093 Dy
0.8459 5.3778 2.0054 Ga
2.8343 1.7926 4.8182 Ga
4.5262 5.3778 0.8074 Ga
6.5145 1.7926 3.6202 Ga
1.3507 0.3653 3.3127 Pd
1.3507 3.2199 3.3127 Pd
2.3295 3.9505 0.5000 Pd
2.3295 6.8051 0.5000 Pd
5.0309 0.3653 5.1256 Pd
5.0309 3.2199 5.1256 Pd
6.0098 3.9505 2.3128 Pd
6.0098 6.8051 2.3128 Pd
```

For Sm2Y2CI2Br2Cl, the GGA-PBE geometry in OQMD gives the simulated X-ray diffraction stick pattern in this record (λ = 1.5418 Å (Cu Kα)).
Neutral-atom scattering factors, no anomalous dispersion.

Peak list (8 most intense, 10 to 80 degrees two-theta, by angle)
d = 7.953 Å, 11.12°, intensity 58.6; d = 3.477 Å, 25.62°, intensity 22.2; d = 3.048 Å, 29.31°, intensity 43.4; d = 2.802 Å, 31.94°, intensity 100.0; d = 2.659 Å, 33.71°, intensity 21.2; d = 2.074 Å, 43.65°, intensity 27.4; d = 2.052 Å, 44.13°, intensity 20.3; d = 1.936 Å, 46.93°, intensity 21.6

Structure:
```
Sm2Y2CI2Br2Cl
1.0
9.3367 -1.9362 0.0000
9.3367 1.9362 0.0000
-1.6462 0.0000 7.9534
Sm Y C I Br Cl
2 2 1 2 2 1
Cartesian
2.4078 0.0000 0.5745 Sm
14.6193 0.0000 7.3789 Sm
8.9672 0.0000 1.6251 Y
8.0599 0.0000 6.3283 Y
0.0000 0.0000 0.0000 C
5.8161 0.0000 1.5941 I
11.2111 0.0000 6.3593 I
5.3914 0.0000 5.2092 Br
11.6357 0.0000 2.7442 Br
-0.8231 0.0000 3.9767 Cl
```

For Al6Ir, the GGA-PBE geometry in OQMD gives the simulated X-ray diffraction stick pattern in this record (λ = 1.5418 Å (Cu Kα)).
Neutral-atom scattering factors, no anomalous dispersion.

Peak list (8 most intense, 10 to 80 degrees two-theta, by angle)
d = 4.943 Å, 17.95°, intensity 100.0; d = 4.536 Å, 19.57°, intensity 45.9; d = 3.756 Å, 23.69°, intensity 29.4; d = 3.342 Å, 26.67°, intensity 81.1; d = 2.893 Å, 30.91°, intensity 31.7; d = 2.170 Å, 41.62°, intensity 52.5; d = 2.079 Å, 43.53°, intensity 56.8; d = 2.061 Å, 43.92°, intensity 40.4

Structure:
```
Al6Ir
1.0
3.7557 -3.2822 0.0000
3.7557 3.2822 0.0000
0.0000 0.0000 9.0722
Al Ir
12 2
Cartesian
2.4198 2.0235 2.2681 Al
3.7557 2.3655 5.4474 Al
3.7557 2.3655 8.1609 Al
2.3660 0.0000 0.0000 Al
2.3660 0.0000 4.5361 Al
5.0915 2.0235 2.2681 Al
2.4198 -2.0235 6.8042 Al
5.1453 0.0000 0.0000 Al
5.1453 0.0000 4.5361 Al
3.7557 -2.3655 0.9113 Al
3.7557 -2.3655 3.6248 Al
5.0915 -2.0235 6.8042 Al
3.7557 0.2049 6.8042 Ir
3.7557 -0.2049 2.2681 Ir
```

For NdHfB4, the GGA-PBE geometry in OQMD gives the simulated X-ray diffraction stick pattern in this record (λ = 1.5418 Å (Cu Kα)).
Neutral-atom scattering factors, no anomalous dispersion.

Peak list (8 most intense, 10 to 80 degrees two-theta, by angle)
d = 3.845 Å, 23.13°, intensity 49.8; d = 2.787 Å, 32.12°, intensity 74.3; d = 2.257 Å, 39.95°, intensity 100.0; d = 1.609 Å, 57.26°, intensity 18.9; d = 1.583 Å, 58.31°, intensity 28.7; d = 1.484 Å, 62.58°, intensity 21.1; d = 1.310 Å, 72.09°, intensity 17.5; d = 1.234 Å, 77.33°, intensity 15.1

Structure:
```
NdHfB4
1.0
3.2181 0.0000 0.0000
-1.6090 2.7869 0.0000
0.0000 0.0000 7.6902
Nd Hf B
1 1 4
Cartesian
0.0000 0.0000 0.0000 Nd
0.0000 0.0000 3.8451 Hf
0.0000 1.8579 2.1476 B
0.0000 1.8579 5.5426 B
1.6090 0.9290 2.1476 B
1.6090 0.9290 5.5426 B
```